Structure and theoretical XRD peak list of NaCuI2O8 (a cell relaxed with GGA-PBE; Cu Kα X-rays).

Atomic structure:
Lattice parameters (Å, degrees): 6.122 6.122 6.122 108.38 108.38 111.67
Element x y z (fractional)
Na (0.000, 0.000, 0.000)
Cu (0.250, 0.750, 0.500)
I (0.500, 0.500, 0.000)
I (0.750, 0.250, 0.500)
O (0.341, 0.133, 0.792)
O (0.341, 0.550, 0.208)
O (0.393, 0.089, 0.305)
O (0.450, 0.659, 0.792)
O (0.784, 0.089, 0.695)
O (0.867, 0.659, 0.208)
O (0.911, 0.216, 0.305)
O (0.911, 0.607, 0.695)

Principal peaks in the range 2θ = 10–90°, by intensity:
d/Å	2theta	I/Imax
3.582	24.86	1000
2.845	31.45	911
1.892	48.10	645
4.961	17.88	502
2.904	30.79	382
1.791	50.99	190
1.516	61.15	174
2.533	35.44	170
1.422	65.64	154
1.550	59.66	149